No. 1
Structure and calculated X-ray powder pattern of CaThRu4 (a crystal structure in Alexandria, relaxed with GGA-PBE; Cu Kα (λ = 1.5418 Å)).
Neutral-atom scattering factors, no anomalous dispersion.

Principal peaks in the range 10° ≤ 2θ ≤ 80°, sorted by position:
| two_theta | intensity | index |
| --- | --- | --- |
| 20.2 | 16.7 | 1 1 1 |
| 23.3 | 17.8 | 2 0 0 |
| 33.2 | 32.1 | 2 2 0 |
| 39.2 | 100.0 | 3 1 1 |
| 41.0 | 34.7 | 2 2 2 |
| 59.4 | 12.3 | 4 2 2 |
| 63.4 | 32.4 | 5 1 1 |
| 69.8 | 24.0 | 4 4 0 |

Crystal structure
Cell lengths 7.626, 7.626, 7.626 Å; angles 90.00, 90.00, 90.00 degrees
Space group F-43m (No. 216)
Unique sites:
Ca (0.000, 0.000, 0.000) (multiplicity 4)
Th (0.250, 0.250, 0.750) (multiplicity 4)
Ru (0.125, 0.125, 0.375) (multiplicity 16)

No. 2
Structure and calculated X-ray powder pattern of Na2Nd2B2O7 (a crystal structure in Alexandria, relaxed with GGA-PBE; Cu Kα (λ = 1.5418 Å)).
Neutral-atom scattering factors, no anomalous dispersion.

Principal peaks in the range 10° ≤ 2θ ≤ 80°, sorted by position:
| two_theta | intensity | index |
| --- | --- | --- |
| 25.3 | 37.3 | 3 0 -2 |
| 28.1 | 42.5 | 2 1 1 |
| 28.4 | 32.4 | 3 1 -1 |
| 29.1 | 100.0 | 1 1 -3 |
| 29.3 | 41.3 | 2 1 -3 |
| 32.1 | 32.2 | 2 2 -1 |
| 32.3 | 35.7 | 2 0 2 |
| 33.0 | 43.1 | 4 0 -2 |

Crystal structure
Cell lengths 10.876, 6.495, 10.586 Å; angles 90.00, 117.84, 90.00 degrees
Space group P2_1/c (No. 14)
Unique sites:
Na (0.023, 0.057, 0.259) (multiplicity 4)
Na (0.110, 0.719, 0.048) (multiplicity 4)
Nd (0.313, 0.081, 0.911) (multiplicity 4)
Nd (0.482, 0.541, 0.180) (multiplicity 4)
B (0.179, 0.245, 0.576) (multiplicity 4)
B (0.288, 0.652, 0.850) (multiplicity 4)
O (0.098, 0.176, 0.941) (multiplicity 4)
O (0.125, 0.146, 0.656) (multiplicity 4)
O (0.183, 0.742, 0.867) (multiplicity 4)
O (0.325, 0.236, 0.132) (multiplicity 4)
O (0.344, 0.745, 0.272) (multiplicity 4)
O (0.346, 0.037, 0.411) (multiplicity 4)
O (0.475, 0.622, 0.599) (multiplicity 4)

- What is the formula in the second record?
  Na2Nd2B2O7

- What is the formula in the first record?
  CaThRu4

Copy entry 2 word for word.
Structure and calculated X-ray powder pattern of Na2Nd2B2O7 (a crystal structure in Alexandria, relaxed with GGA-PBE; Cu Kα (λ = 1.5418 Å)).
Neutral-atom scattering factors, no anomalous dispersion.

Principal peaks in the range 10° ≤ 2θ ≤ 80°, sorted by position:
| two_theta | intensity | index |
| --- | --- | --- |
| 25.3 | 37.3 | 3 0 -2 |
| 28.1 | 42.5 | 2 1 1 |
| 28.4 | 32.4 | 3 1 -1 |
| 29.1 | 100.0 | 1 1 -3 |
| 29.3 | 41.3 | 2 1 -3 |
| 32.1 | 32.2 | 2 2 -1 |
| 32.3 | 35.7 | 2 0 2 |
| 33.0 | 43.1 | 4 0 -2 |

Crystal structure
Cell lengths 10.876, 6.495, 10.586 Å; angles 90.00, 117.84, 90.00 degrees
Space group P2_1/c (No. 14)
Unique sites:
Na (0.023, 0.057, 0.259) (multiplicity 4)
Na (0.110, 0.719, 0.048) (multiplicity 4)
Nd (0.313, 0.081, 0.911) (multiplicity 4)
Nd (0.482, 0.541, 0.180) (multiplicity 4)
B (0.179, 0.245, 0.576) (multiplicity 4)
B (0.288, 0.652, 0.850) (multiplicity 4)
O (0.098, 0.176, 0.941) (multiplicity 4)
O (0.125, 0.146, 0.656) (multiplicity 4)
O (0.183, 0.742, 0.867) (multiplicity 4)
O (0.325, 0.236, 0.132) (multiplicity 4)
O (0.344, 0.745, 0.272) (multiplicity 4)
O (0.346, 0.037, 0.411) (multiplicity 4)
O (0.475, 0.622, 0.599) (multiplicity 4)